Entry 1:
The following is a calculated powder diffractogram of InAg2Te. It was derived from DFT lattice parameters and positions (GGA-PBE), using Cu Ka.
Intensities are scaled so that the largest is 100.

```
InAg2Te
1.0
-2.406 2.406 4.064
2.406 -2.406 4.064
2.406 2.406 -4.064
In Ag Te
1 2 1
Cartesian
0.000 0.000 0.000
2.406 0.000 2.032
0.000 2.406 2.032
0.000 0.000 4.064
```

The 6 most intense peaks (5 to 70 degrees two-theta), in order of falling intensity:
2θ/deg, I/Imax
34.38, 100
37.38, 40
65.51, 29
59.56, 19
53.90, 13
44.60, 12


Entry 2:
The following is a calculated powder diffractogram of LiURh4. It was derived from DFT lattice parameters and positions (GGA-PBE), using Cu Ka.
Intensities are scaled so that the largest is 100.

```
LiURh4
1.0
7.331 0.000 0.000
0.000 5.321 0.000
-0.003 0.000 5.322
Li U Rh
2 2 8
Cartesian
-0.001 1.333 1.331
-0.003 3.988 3.992
3.663 1.330 3.992
3.664 3.991 1.331
1.690 0.339 3.003
1.691 2.321 4.985
1.693 3.000 2.324
1.692 4.983 0.342
5.636 0.339 4.981
5.635 2.321 2.998
5.636 3.000 0.337
5.637 4.983 2.319
```

The 10 most intense peaks (5 to 70 degrees two-theta), in order of falling intensity:
2θ/deg, I/Imax
41.96, 100
23.64, 68
39.82, 66
26.63, 62
12.07, 52
35.90, 38
60.54, 35
53.77, 24
48.38, 24
44.19, 21


Entry 3:
The following is a calculated powder diffractogram of Nd2Zn3Pb. It was derived from DFT lattice parameters and positions (GGA-PBE), using Cu Ka.
Intensities are scaled so that the largest is 100.

```
Nd2Zn3Pb
1.0
3.804 0.000 0.000
0.000 4.640 0.000
0.000 0.000 8.145
Nd Zn Pb
2 3 1
Cartesian
0.000 0.000 0.000
0.000 2.320 3.827
1.902 0.000 2.537
1.902 0.000 5.082
1.902 2.320 1.368
1.902 2.320 6.656
```

The 10 most intense peaks (5 to 70 degrees two-theta), in order of falling intensity:
2θ/deg, I/Imax
32.36, 100
38.41, 56
32.20, 49
38.82, 29
51.29, 26
62.94, 26
47.82, 16
63.22, 14
50.86, 13
66.24, 13


Entry 4:
The following is a calculated powder diffractogram of SrTlPd3. It was derived from DFT lattice parameters and positions (GGA-PBE), using Cu Ka.
Intensities are scaled so that the largest is 100.

```
SrTlPd3
1.0
-2.859 3.936 4.818
2.859 -3.936 4.818
2.859 3.936 -4.818
Sr Tl Pd
2 2 6
Cartesian
0.000 1.968 0.024
2.859 1.968 4.794
2.859 0.000 0.000
0.000 0.000 4.818
2.859 1.968 -1.905
1.429 4.359 -2.409
1.429 0.424 2.409
-1.429 3.512 2.409
1.429 3.512 2.409
0.000 1.968 6.723
```

The 10 most intense peaks (5 to 70 degrees two-theta), in order of falling intensity:
2θ/deg, I/Imax
29.06, 100
39.49, 99
36.55, 75
43.40, 71
37.33, 57
18.04, 52
35.46, 38
34.66, 30
61.26, 27
46.13, 22


Entry 5:
The following is a calculated powder diffractogram of Er2AlFe3. It was derived from DFT lattice parameters and positions (GGA-PBE), using Cu Ka.
Intensities are scaled so that the largest is 100.

```
Er2AlFe3
1.0
5.198 0.000 0.000
-2.599 4.502 0.000
0.000 0.000 8.365
Er Al Fe
4 2 6
Cartesian
0.000 3.001 0.552
0.000 3.001 3.630
2.599 1.501 4.735
2.599 1.501 7.813
0.000 0.000 0.000
0.000 0.000 4.183
0.000 1.562 6.274
-1.247 3.721 6.274
1.352 0.781 2.091
1.247 3.721 6.274
3.846 0.781 2.091
2.599 2.940 2.091
```

The 10 most intense peaks (5 to 70 degrees two-theta), in order of falling intensity:
2θ/deg, I/Imax
37.96, 100
40.88, 72
34.51, 54
41.55, 51
64.12, 39
19.72, 32
29.14, 21
40.06, 21
66.16, 17
22.43, 12


Entry 6:
The following is a calculated powder diffractogram of NpZn3N4. It was derived from DFT lattice parameters and positions (GGA-PBE), using Cu Ka.
Intensities are scaled so that the largest is 100.

```
NpZn3N4
1.0
4.583 0.000 0.000
0.000 6.896 0.000
0.000 0.000 6.442
Np Zn N
2 6 8
Cartesian
1.146 1.724 0.894
3.438 5.172 5.548
1.146 3.489 4.225
1.146 5.172 1.259
1.146 6.855 4.225
3.438 0.041 2.218
3.438 1.724 5.184
3.438 3.407 2.218
1.146 0.098 2.207
1.146 1.724 5.306
1.146 3.350 2.207
1.146 5.172 5.535
3.438 1.724 0.907
3.438 3.546 4.235
3.438 5.172 1.136
3.438 6.798 4.235
```

The 10 most intense peaks (5 to 70 degrees two-theta), in order of falling intensity:
2θ/deg, I/Imax
35.43, 100
34.02, 70
29.38, 65
39.31, 46
50.04, 37
23.30, 34
65.42, 31
18.85, 29
27.15, 29
49.83, 29


Entry 7:
The following is a calculated powder diffractogram of ErGa2Te4. It was derived from DFT lattice parameters and positions (GGA-PBE), using Cu Ka.
Intensities are scaled so that the largest is 100.

```
ErGa2Te4
1.0
6.203 0.000 0.000
0.000 6.203 0.000
0.000 0.000 6.665
Er Ga Te
1 2 4
Cartesian
0.000 0.000 0.000
0.000 3.101 3.333
3.101 0.000 3.333
1.697 1.697 1.696
1.697 4.506 4.969
4.506 1.697 4.969
4.506 4.506 1.696
```

The 10 most intense peaks (5 to 70 degrees two-theta), in order of falling intensity:
2θ/deg, I/Imax
24.29, 100
39.70, 51
48.37, 27
41.16, 22
45.78, 18
19.55, 14
63.24, 12
35.04, 11
30.45, 10
32.27, 8


Entry 8:
The following is a calculated powder diffractogram of Nd5P12Ru19. It was derived from DFT lattice parameters and positions (GGA-PBE), using Cu Ka.
Intensities are scaled so that the largest is 100.

```
Nd5P12Ru19
1.0
12.631 0.000 0.000
-6.316 10.939 0.000
0.000 0.000 4.017
Nd P Ru
5 12 19
Cartesian
-1.163 2.014 0.000
2.325 0.000 0.000
0.000 7.293 2.009
6.316 3.646 2.009
5.153 8.925 0.000
-2.368 4.101 2.009
-5.135 8.893 2.009
-2.227 7.603 0.000
1.181 2.046 2.009
0.845 5.209 0.000
4.735 0.000 2.009
4.088 3.336 0.000
1.382 9.066 0.000
3.948 6.838 2.009
7.698 1.873 0.000
10.269 0.000 2.009
7.161 5.730 0.000
0.000 0.000 2.009
-3.504 6.070 2.009
-4.517 7.823 0.000
-1.533 5.378 0.000
-2.762 8.822 2.009
0.057 4.136 2.009
1.799 3.116 0.000
-0.892 9.578 0.000
3.554 2.117 2.009
2.811 4.869 2.009
5.424 1.361 0.000
2.425 6.923 0.000
7.009 0.000 2.009
2.705 8.920 2.009
4.783 5.561 0.000
9.033 0.000 0.000
9.021 2.019 2.009
6.372 6.803 2.009
8.740 4.016 0.000
```

The 10 most intense peaks (5 to 70 degrees two-theta), in order of falling intensity:
2θ/deg, I/Imax
36.18, 100
37.14, 26
45.14, 24
28.26, 16
50.03, 14
37.68, 11
69.65, 10
46.21, 9
47.31, 8
68.89, 8


Entry 9:
The following is a calculated powder diffractogram of Pr3Sm4Ho2. It was derived from DFT lattice parameters and positions (GGA-PBE), using Cu Ka.
Intensities are scaled so that the largest is 100.

```
Pr3Sm4Ho2
1.0
3.634 0.000 0.000
-1.817 3.147 0.000
0.000 0.000 27.069
Pr Sm Ho
3 4 2
Cartesian
0.000 0.000 0.000
0.000 0.000 9.126
1.817 1.049 18.180
0.000 0.000 15.132
0.000 0.000 21.235
1.817 1.049 6.214
1.817 1.049 12.228
1.817 1.049 2.851
1.817 1.049 24.063
```

The 10 most intense peaks (5 to 70 degrees two-theta), in order of falling intensity:
2θ/deg, I/Imax
32.92, 100
31.35, 76
29.70, 55
28.36, 52
59.43, 47
50.21, 41
41.53, 35
55.80, 29
61.35, 17
60.39, 12


Entry 10:
The following is a calculated powder diffractogram of CsRb7Au6. It was derived from DFT lattice parameters and positions (GGA-PBE), using Cu Ka.
Intensities are scaled so that the largest is 100.

```
CsRb7Au6
1.0
5.249 3.031 6.828
-5.249 3.031 6.828
0.000 -6.061 6.828
Cs Rb Au
1 7 6
Cartesian
0.000 0.000 0.000
-1.503 -2.397 8.861
-3.924 0.530 11.786
-1.324 2.500 8.861
1.503 -3.663 11.786
0.000 0.000 13.801
2.827 -0.103 8.861
2.421 3.134 11.786
-4.094 0.028 8.275
-1.937 -2.460 12.373
2.023 -3.560 8.275
-1.162 2.908 12.373
2.071 3.532 8.275
3.099 -0.448 12.373
```

The 10 most intense peaks (5 to 70 degrees two-theta), in order of falling intensity:
2θ/deg, I/Imax
31.28, 100
29.47, 60
21.35, 38
16.89, 37
39.81, 33
27.37, 29
26.30, 29
36.70, 29
12.99, 28
26.10, 24